Calculated powder XRD pattern
Compound: Sr2MnNbO6
Radiation: Cu Ka
Structure: the PBE+U geometry in Alexandria
Intensities are scaled so that the largest is 100.

Structure:
```
Sr2MnNbO6
1.0
5.5337 0.0000 0.0000
0.0016 5.5348 0.0000
2.7631 2.7569 4.2396
Sr Mn Nb O
2 1 1 6
Cartesian
1.3814 1.3805 0.0009
6.9170 6.9113 4.2387
1.3823 4.1459 2.1198
4.1484 1.3785 2.1198
2.4954 5.7559 2.1336
4.1207 6.9599 4.1207
2.9907 3.0323 2.0657
5.3077 5.2595 2.1739
4.1777 1.3319 0.1190
5.8030 2.5359 2.1060
```

Principal peaks in the range 2θ = 10–90°, most intense first:
Position (°2θ)  I/Imax  h k l
31.1  100  1 1 2
32.4  50  2 0 1
46.4  31  2 2 2
56.9  25  1 3 1
42.7  22  0 0 2
57.0  15  1 3 3
54.5  11  2 0 -1
54.6  11  0 2 3
64.9  10  2 2 4
64.8  10  2 -2 2